(1)
Ca3MnS2O17: computed X-ray diffraction stick pattern (a wavelength of 1.5418 Å), based on DFT lattice parameters and positions (GGA+U).
Intensities are scaled so that the largest is 100.

Top 10 peaks for 2θ = 10–90°, by angle:
Position (°2θ)  I (rel.)
11.9  33
14.5  18
20.6  54
25.3  30
26.6  100
34.9  18
40.0  18
41.9  23
44.5  14
54.8  22

Structural model:
a b c (Å): 10.6485 8.6257 8.6257
angles (deg): 120.13 90.00 90.00
Sites, in units of the cell vectors:
1 Ca 0.2500 0.0753 0.9247
2 Ca 0.2500 0.6082 0.9169
3 Ca 0.2500 0.6178 0.4584
4 Ca 0.7500 0.4584 0.6178
5 Ca 0.7500 0.9169 0.6082
6 Ca 0.7500 0.9247 0.0753
7 Mn 0.0000 0.7672 0.7672
8 Mn 0.5000 0.7672 0.7672
9 S 0.0228 0.4337 0.1003
10 S 0.4772 0.4337 0.1003
11 S 0.5228 0.1003 0.4337
12 S 0.9772 0.1003 0.4337
13 O 0.0712 0.2467 0.9904
14 O 0.0712 0.5107 0.2871
15 O 0.0713 0.5432 0.0232
16 O 0.1149 0.5836 0.6750
17 O 0.1149 0.8575 0.9500
18 O 0.1161 0.1002 0.4336
19 O 0.1162 0.8595 0.6753
20 O 0.2500 0.2513 0.7520
21 O 0.2500 0.2677 0.2827
22 O 0.2500 0.7819 0.2660
23 O 0.3839 0.1002 0.4336
24 O 0.3838 0.8595 0.6753
25 O 0.3851 0.5836 0.6750
26 O 0.3851 0.8575 0.9500
27 O 0.4288 0.2467 0.9904
28 O 0.4288 0.5107 0.2871
29 O 0.4287 0.5432 0.0232
30 O 0.5713 0.0232 0.5432
31 O 0.5712 0.2871 0.5107
32 O 0.5712 0.9904 0.2467
33 O 0.6149 0.6750 0.5836
34 O 0.6149 0.9500 0.8575
35 O 0.6161 0.4336 0.1002
36 O 0.6162 0.6753 0.8595
37 O 0.7500 0.2660 0.7819
38 O 0.7500 0.2827 0.2677
39 O 0.7500 0.7520 0.2513
40 O 0.8839 0.4336 0.1002
41 O 0.8838 0.6753 0.8595
42 O 0.8851 0.6750 0.5836
43 O 0.8851 0.9500 0.8575
44 O 0.9287 0.0232 0.5432
45 O 0.9288 0.2871 0.5107
46 O 0.9288 0.9904 0.2467

***

(2)
MgMn4Zn2O8: computed X-ray diffraction stick pattern (a wavelength of 1.5418 Å), based on DFT lattice parameters and positions (GGA+U).
Intensities are scaled so that the largest is 100.

Top 10 peaks for 2θ = 10–90°, by angle:
Position (°2θ)  I (rel.)
23.3  37
26.3  29
31.3  78
32.1  77
34.2  100
40.2  56
42.7  57
48.1  30
57.4  43
62.6  35

Structural model:
a b c (Å): 2.9686 7.6511 8.6931
angles (deg): 113.91 99.74 90.06
Sites, in units of the cell vectors:
1 Mg 0.0000 0.0000 0.0000
2 Mn 0.2356 0.3077 0.4769
3 Mn 0.3796 0.1496 0.7519
4 Mn 0.6204 0.8504 0.2481
5 Mn 0.7644 0.6923 0.5231
6 Zn 0.0886 0.3933 0.1790
7 Zn 0.9114 0.6067 0.8210
8 O 0.1377 0.0358 0.2811
9 O 0.1423 0.6961 0.2918
10 O 0.3243 0.5948 0.6454
11 O 0.4911 0.7917 0.9847
12 O 0.5089 0.2083 0.0153
13 O 0.6757 0.4052 0.3546
14 O 0.8577 0.3039 0.7082
15 O 0.8623 0.9642 0.7189

***

(3)
NaHfCuWO6: computed X-ray diffraction stick pattern (a wavelength of 1.5418 Å), based on DFT lattice parameters and positions (GGA+U).
Intensities are scaled so that the largest is 100.

Top 10 peaks for 2θ = 10–90°, by angle:
Position (°2θ)  I (rel.)
22.2  62
31.6  100
39.0  6
45.3  31
51.0  26
56.3  40
66.1  19
70.6  13
75.1  17
83.8  6

Structural model:
a b c (Å): 5.6577 5.6577 5.6577
angles (deg): 60.00 60.00 60.00
Sites, in units of the cell vectors:
1 Na 0.0000 0.0000 0.0000
2 Hf 0.2500 0.2500 0.2500
3 Cu 0.5000 0.5000 0.5000
4 W 0.7500 0.7500 0.7500
5 O 0.5076 0.5076 0.9924
6 O 0.5076 0.9924 0.5076
7 O 0.5076 0.9924 0.9924
8 O 0.9924 0.5076 0.5076
9 O 0.9924 0.5076 0.9924
10 O 0.9924 0.9924 0.5076

***

(4)
MnP2O7: computed X-ray diffraction stick pattern (a wavelength of 1.5418 Å), based on DFT lattice parameters and positions (GGA+U).
Intensities are scaled so that the largest is 100.

Top 10 peaks for 2θ = 10–90°, by angle:
Position (°2θ)  I (rel.)
13.9  43
16.4  100
19.8  66
28.3  44
29.0  46
29.4  22
30.8  22
31.4  47
31.5  48
37.7  20

Structural model:
a b c (Å): 6.2172 6.4201 6.8644
angles (deg): 87.80 66.80 83.76
Sites, in units of the cell vectors:
1 Mn 0.0946 0.1438 0.2858
2 Mn 0.9054 0.8562 0.7142
3 P 0.2263 0.6291 0.2605
4 P 0.3400 0.8878 0.8540
5 P 0.6600 0.1122 0.1460
6 P 0.7737 0.3709 0.7395
7 O 0.0575 0.8270 0.3824
8 O 0.0731 0.4534 0.2691
9 O 0.2166 0.8430 0.7099
10 O 0.2277 0.0892 0.9860
11 O 0.3251 0.7004 0.0161
12 O 0.4009 0.1025 0.2910
13 O 0.4232 0.5685 0.3297
14 O 0.5768 0.4315 0.6703
15 O 0.5991 0.8975 0.7090
16 O 0.6749 0.2996 0.9839
17 O 0.7723 0.9108 0.0140
18 O 0.7834 0.1570 0.2901
19 O 0.9269 0.5466 0.7309
20 O 0.9425 0.1730 0.6176

***

(5)
Li9Mn2Co5O16: computed X-ray diffraction stick pattern (a wavelength of 1.5418 Å), based on DFT lattice parameters and positions (GGA+U).
Intensities are scaled so that the largest is 100.

Top 10 peaks for 2θ = 10–90°, by angle:
Position (°2θ)  I (rel.)
18.4  100
35.5  15
36.1  13
36.2  13
42.9  29
43.8  27
43.9  27
47.6  9
62.9  15
63.3  15

Structural model:
a b c (Å): 5.1078 5.9001 10.0771
angles (deg): 90.96 99.61 105.91
Sites, in units of the cell vectors:
1 Li 0.0000 0.0000 0.0000
2 Li 0.4934 0.8809 0.1196
3 Li 0.4947 0.3695 0.6295
4 Li 0.4971 0.3707 0.1219
5 Li 0.4970 0.8742 0.6256
6 Li 0.5030 0.1258 0.3744
7 Li 0.5029 0.6293 0.8781
8 Li 0.5053 0.6305 0.3705
9 Li 0.5066 0.1191 0.8804
10 Mn 0.0000 0.0000 0.5000
11 Mn 0.0000 0.5000 0.0000
12 Co 0.0000 0.5000 0.5000
13 Co 0.0006 0.7580 0.2448
14 Co 0.0054 0.2445 0.2426
15 Co 0.9946 0.7555 0.7574
16 Co 0.9994 0.2420 0.7552
17 O 0.2106 0.5586 0.6772
18 O 0.2200 0.3199 0.9286
19 O 0.2211 0.2988 0.4466
20 O 0.2269 0.8261 0.4313
21 O 0.2296 0.0521 0.6797
22 O 0.2312 0.7856 0.9381
23 O 0.2353 0.5579 0.1782
24 O 0.2380 0.0729 0.1953
25 O 0.7620 0.9271 0.8047
26 O 0.7647 0.4421 0.8218
27 O 0.7688 0.2144 0.0619
28 O 0.7704 0.9479 0.3203
29 O 0.7731 0.1739 0.5687
30 O 0.7789 0.7012 0.5534
31 O 0.7800 0.6801 0.0714
32 O 0.7894 0.4414 0.3228

***

(6)
KPrW2O8: computed X-ray diffraction stick pattern (a wavelength of 1.5418 Å), based on DFT lattice parameters and positions (GGA+U).
Intensities are scaled so that the largest is 100.

Top 10 peaks for 2θ = 10–90°, by angle:
Position (°2θ)  I (rel.)
13.2  25
14.3  55
17.2  30
23.6  27
26.6  65
27.1  37
27.3  30
28.8  100
33.2  32
52.0  25

Structural model:
a b c (Å): 7.5734 7.5734 7.6278
angles (deg): 113.75 113.75 93.14
Sites, in units of the cell vectors:
1 K 0.1901 0.1901 0.0277
2 K 0.8099 0.8099 0.9723
3 Pr 0.1998 0.8002 0.5000
4 Pr 0.8002 0.1998 0.5000
5 W 0.2952 0.2952 0.5563
6 W 0.3393 0.6607 0.0000
7 W 0.6607 0.3393 0.0000
8 W 0.7048 0.7048 0.4437
9 O 0.0734 0.0734 0.3899
10 O 0.1546 0.4053 0.7599
11 O 0.1929 0.7147 0.1454
12 O 0.2058 0.4586 0.4363
13 O 0.2853 0.8071 0.8546
14 O 0.4053 0.1546 0.7599
15 O 0.4586 0.2058 0.4363
16 O 0.4838 0.4838 0.1558
17 O 0.5162 0.5162 0.8442
18 O 0.5414 0.7942 0.5637
19 O 0.5947 0.8454 0.2401
20 O 0.7147 0.1929 0.1454
21 O 0.7942 0.5414 0.5637
22 O 0.8071 0.2853 0.8546
23 O 0.8454 0.5947 0.2401
24 O 0.9266 0.9266 0.6101

***

(7)
Ba3SrCoCu3O12: computed X-ray diffraction stick pattern (a wavelength of 1.5418 Å), based on DFT lattice parameters and positions (GGA+U).
Intensities are scaled so that the largest is 100.

Top 10 peaks for 2θ = 10–90°, by angle:
Position (°2θ)  I (rel.)
22.3  5
31.8  100
39.2  13
45.5  34
56.5  26
56.6  13
66.2  3
66.4  16
75.4  14
84.1  3

Structural model:
a b c (Å): 3.9844 7.9711 7.9711
angles (deg): 90.16 90.00 90.00
Sites, in units of the cell vectors:
1 Ba 0.0000 0.0000 0.0000
2 Ba 0.0000 0.0003 0.5023
3 Ba 0.0000 0.5023 0.0003
4 Sr 0.0000 0.5048 0.5048
5 Co 0.5000 0.2544 0.2544
6 Cu 0.5000 0.2524 0.7520
7 Cu 0.5000 0.7513 0.7513
8 Cu 0.5000 0.7520 0.2524
9 O 0.0000 0.2562 0.2562
10 O 0.0000 0.2596 0.7438
11 O 0.0000 0.7438 0.2596
12 O 0.0000 0.7439 0.7439
13 O 0.5000 0.0033 0.7490
14 O 0.5000 0.0113 0.2535
15 O 0.5000 0.2535 0.0113
16 O 0.5000 0.2606 0.4947
17 O 0.5000 0.4947 0.2606
18 O 0.5000 0.5002 0.7399
19 O 0.5000 0.7399 0.5002
20 O 0.5000 0.7490 0.0033

***

(8)
Li9Mn2Co5O16: computed X-ray diffraction stick pattern (a wavelength of 1.5418 Å), based on DFT lattice parameters and positions (GGA+U).
Intensities are scaled so that the largest is 100.

Top 10 peaks for 2θ = 10–90°, by angle:
Position (°2θ)  I (rel.)
18.4  100
35.8  15
35.9  14
36.7  12
43.2  29
43.6  28
44.6  26
47.7  9
63.0  15
64.4  15

Structural model:
a b c (Å): 2.8953 9.7559 10.1488
angles (deg): 84.81 88.79 82.55
Sites, in units of the cell vectors:
1 Li 0.0000 0.0000 0.0000
2 Li 0.1155 0.7547 0.1814
3 Li 0.1224 0.7503 0.6871
4 Li 0.3745 0.2515 0.5602
5 Li 0.3758 0.2421 0.0535
6 Li 0.6242 0.7579 0.9465
7 Li 0.6255 0.7485 0.4398
8 Li 0.8776 0.2497 0.3129
9 Li 0.8845 0.2453 0.8186
10 Mn 0.4981 0.0022 0.7543
11 Mn 0.5019 0.9978 0.2457
12 Co 0.0000 0.0000 0.5000
13 Co 0.2500 0.4997 0.3749
14 Co 0.2505 0.5009 0.8747
15 Co 0.7495 0.4991 0.1253
16 Co 0.7500 0.5003 0.6251
17 O 0.0439 0.8886 0.8299
18 O 0.0449 0.8938 0.3456
19 O 0.1740 0.6184 0.5348
20 O 0.1748 0.6171 0.0350
21 O 0.3245 0.3852 0.7132
22 O 0.3252 0.3823 0.2147
23 O 0.4412 0.1165 0.8885
24 O 0.4565 0.1059 0.4107
25 O 0.5435 0.8941 0.5893
26 O 0.5588 0.8835 0.1115
27 O 0.6748 0.6177 0.7853
28 O 0.6755 0.6148 0.2868
29 O 0.8252 0.3829 0.9650
30 O 0.8260 0.3816 0.4652
31 O 0.9551 0.1062 0.6544
32 O 0.9561 0.1114 0.1701